(1)
# DyPd2
Theoretical powder X-ray diffraction pattern, Cu Kα (weighted mean of Kα1 and Kα2). Input: a crystal structure in the Materials Project, relaxed with PBE.

Atomic structure:
```
data_DyPd2
_chemical_formula_sum 'Dy2 Pd4'
_space_group_name_H-M_alt 'I 4/m m m'
_space_group_IT_number 139
_space_group_name_Hall '-I 4 2'
_cell_length_a 3.942
_cell_length_b 3.942
_cell_length_c 8.463
_cell_angle_alpha 90.00
_cell_angle_beta 90.00
_cell_angle_gamma 90.00
loop_
_atom_site_label
_atom_site_type_symbol
_atom_site_fract_x
_atom_site_fract_y
_atom_site_fract_z
Dy1 Dy 0.000 0.000 0.000
Pd1 Pd 0.000 0.500 0.250
```

Largest 10 diffraction maxima, in order of rising 2θ, 2θ from 5° to 70°:
index	2theta	intensity
1 0 1	24.92	57
1 1 2	38.68	100
1 0 3	39.27	17
0 0 4	42.74	19
2 0 0	46.05	30
2 1 1	53.06	15
1 0 5	59.43	5
2 1 3	62.08	9
2 0 4	64.63	22
2 2 0	67.17	10


(2)
# Dy2PdRh
Theoretical powder X-ray diffraction pattern, Cu Kα (weighted mean of Kα1 and Kα2). Input: a crystal structure in the Materials Project, relaxed with PBE.

Atomic structure:
```
data_Dy2PdRh
_chemical_formula_sum 'Dy8 Pd4 Rh4'
_space_group_name_H-M_alt 'F m -3 m'
_space_group_IT_number 225
_space_group_name_Hall '-F 4 2 3'
_cell_length_a 6.945
_cell_length_b 6.945
_cell_length_c 6.945
_cell_angle_alpha 90.00
_cell_angle_beta 90.00
_cell_angle_gamma 90.00
loop_
_atom_site_label
_atom_site_type_symbol
_atom_site_fract_x
_atom_site_fract_y
_atom_site_fract_z
Dy1 Dy 0.250 0.250 0.250
Pd1 Pd 0.000 0.000 0.000
Rh1 Rh 0.000 0.000 0.500
```

Largest 6 diffraction maxima, in order of rising 2θ, 2θ from 5° to 70°:
index	2theta	intensity
2 0 0	25.65	5
2 2 0	36.60	100
2 2 2	45.23	1
4 0 0	52.72	17
4 2 0	59.53	2
4 2 2	65.89	35


Which formula does entry 1 have?
DyPd2